This entry pairs a crystal structure of NaAcH6Ru with its calculated XRD peak list. Radiation: Cu Kα (weighted mean of Kα1 and Kα2). Structure: a GGA-PBE-relaxed structure.

Most intense lines, 10° ≤ 2θ ≤ 90°, most intense first:
| d/Å | Rel. int. | (hkl) |
| --- | --- | --- |
| 3.145 | 1000 | 0 1 1 |
| 2.521 | 467 | 1 1 0 |
| 4.367 | 451 | 1 0 0 |
| 2.012 | 302 | 1 0 2 |
| 1.967 | 281 | 2 0 1 |
| 1.551 | 255 | 1 2 1 |
| 4.534 | 208 | 0 0 1 |
| 2.203 | 194 | 1 1 1 |
| 1.334 | 162 | 2 1 2 |
| 1.573 | 141 | 0 2 2 |

Atomic structure:
Unit cell a=5.0425 b=5.0425 c=4.5338 alpha=90.00 beta=90.00 gamma=120.00
Atoms (fractional coordinates):
Na: 0.0000 0.0000 0.0000
Ac: 0.3333 0.6667 0.5072
H: 0.3475 0.1738 0.5902
H: 0.5010 0.0021 0.0223
H: 0.5010 0.4990 0.0223
H: 0.8262 0.1738 0.5902
H: 0.8262 0.6525 0.5902
H: 0.9979 0.4990 0.0223
Ru: 0.6667 0.3333 0.8094